This entry pairs a crystal structure of Cs2RbSbAu with its theoretical powder diffractogram. Radiation: Cu Kα (weighted mean of Kα1 and Kα2). Structure: DFT lattice parameters and positions (GGA-PBE).

The 8 most intense peaks (2θ = 10–90°), by angle:
hkl  2theta  I/Imax
1 0 0  12.7  58
1 1 1  24.4  38
2 0 0  25.5  100
0 0 2  33.1  38
2 2 0  36.4  39
2 0 2  42.2  55
2 2 2  49.9  36
4 2 2  69.4  26

Crystal structure
Unit cell a=6.988 b=6.988 c=5.423 alpha=90.00 beta=90.00 gamma=90.00
Sites, in units of the cell vectors:
1 Cs 0.000 0.500 0.000
2 Cs 0.500 0.000 0.000
3 Rb 0.000 0.000 0.500
4 Sb 0.500 0.500 0.500
5 Au 0.500 0.500 0.000